[1]
Simulated X-ray diffraction stick pattern of MgAs for Cu Kα (weighted mean of Kα1 and Kα2), from a cell relaxed with GGA-PBE.
Kinematic intensities with the Lorentz-polarization factor, no thermal factor.

Top 6 peaks for 15° ≤ 2θ ≤ 90°, low angle first:
d (Å)  Position (°2θ)  I/Imax
3.571  24.93  92
2.280  39.52  100
2.062  43.91  45
1.529  60.54  28
1.228  77.75  26
1.203  79.71  15

Crystal structure
```
MgAs
1.0
4.1235 0.0000 0.0000
-2.0618 3.5711 0.0000
0.0000 0.0000 2.9626
Mg As
1 1
Cartesian
0.0000 0.0000 0.0000
2.0618 1.1904 1.4813
```

[2]
Simulated X-ray diffraction stick pattern of NaLaZrP2SO12 for Cu Kα (weighted mean of Kα1 and Kα2), from a cell relaxed with GGA-PBE.
Kinematic intensities with the Lorentz-polarization factor, no thermal factor.

Top 6 peaks for 15° ≤ 2θ ≤ 90°, low angle first:
d (Å)  Position (°2θ)  I/Imax
4.823  18.40  55
4.617  19.22  100
3.993  22.26  52
3.046  29.32  35
3.015  29.63  33
2.666  33.62  48

Crystal structure
```
NaLaZrP2SO12
1.0
8.0071 -4.6110 0.0000
8.0071 4.6110 0.0000
-5.2433 0.0000 8.0292
Na La Zr P S O
2 2 2 4 2 24
Cartesian
5.3855 2.4389 4.0146
8.0071 -2.4389 0.0000
5.2155 2.3831 0.4452
2.5939 -2.3831 4.4598
5.3020 2.3000 7.5640
7.9236 -2.3000 3.5494
-2.3125 0.8308 5.9942
0.3092 -0.8308 1.9796
7.8193 0.4270 5.9665
10.4409 -0.4270 1.9520
2.4132 1.0657 5.9571
5.0348 -1.0657 1.9425
0.2177 0.7402 2.1051
-1.6462 1.3712 7.2401
1.6817 1.6157 4.7666
6.9094 3.1980 1.8553
-2.4039 -0.7402 6.1197
9.2059 3.3980 0.7104
1.6568 1.2821 7.1882
3.7395 1.7746 6.0560
0.9754 -1.3712 3.2255
5.2846 0.3755 1.8064
2.6630 -0.3755 5.8210
4.3033 -1.6157 0.7521
6.4853 1.2410 6.1167
4.2784 -1.2821 3.1736
10.3434 0.5562 0.7071
8.9792 1.4125 5.8502
6.3611 -1.7746 2.0415
7.7218 -0.5562 4.7217
10.6779 0.3926 3.2056
9.1069 -1.2410 2.1021
8.0562 -0.3926 7.2202
4.2878 -3.1980 5.8699
11.6009 -1.4125 1.8356
6.5842 -3.3980 4.7250
```

[3]
Simulated X-ray diffraction stick pattern of UFe4P12 for Cu Kα (weighted mean of Kα1 and Kα2), from a cell relaxed with GGA-PBE.
Kinematic intensities with the Lorentz-polarization factor, no thermal factor.

Top 6 peaks for 15° ≤ 2θ ≤ 90°, low angle first:
d (Å)  Position (°2θ)  I/Imax
5.492  16.14  95
3.171  28.14  54
2.746  32.61  88
2.456  36.59  100
2.076  43.60  90
1.585  58.19  59

Crystal structure
```
UFe4P12
1.0
-3.8833 3.8833 3.8833
3.8833 -3.8833 3.8833
3.8833 3.8833 -3.8833
U Fe P
1 4 12
Cartesian
0.0000 0.0000 0.0000
1.9416 1.9416 -1.9416
1.9416 -1.9416 1.9416
-1.9416 1.9416 1.9416
1.9416 1.9416 1.9416
2.7085 0.0000 1.1722
5.0581 0.0000 1.1722
3.8833 2.7111 -1.1748
1.1722 2.7085 0.0000
2.7111 -1.1748 3.8833
0.0000 1.1722 2.7085
3.8833 2.7111 1.1748
1.1722 5.0581 0.0000
2.7111 1.1748 3.8833
0.0000 1.1722 5.0581
-1.1748 3.8833 2.7111
1.1748 3.8833 2.7111
```

[4]
Simulated X-ray diffraction stick pattern of Mg9Si5 for Cu Kα (weighted mean of Kα1 and Kα2), from a cell relaxed with GGA-PBE.
Kinematic intensities with the Lorentz-polarization factor, no thermal factor.

Top 6 peaks for 15° ≤ 2θ ≤ 90°, low angle first:
d (Å)  Position (°2θ)  I/Imax
2.685  33.37  26
2.648  33.85  29
2.491  36.06  39
2.465  36.45  25
2.455  36.61  100
2.340  38.47  38

Crystal structure
```
Mg9Si5
1.0
5.0467 0.0000 0.0000
1.2660 7.7768 0.0000
2.3858 1.1865 13.8665
Mg Si
18 10
Cartesian
0.0000 0.0000 0.0000
1.0353 5.1204 1.2036
1.3500 3.9301 3.9672
3.2624 8.2469 8.5265
2.0417 1.2864 5.0087
3.5672 5.2445 8.4590
5.2653 8.2035 11.3241
4.8851 2.6544 13.1360
4.0223 7.9147 2.1309
3.9781 3.5748 5.8493
3.3984 3.3756 1.7416
4.4709 2.2083 8.8178
5.8491 8.3069 6.4194
6.0742 4.4038 10.0321
6.1785 5.4685 6.6853
7.3439 4.2453 13.0964
6.4816 6.8806 3.7559
7.7214 6.6904 11.3380
1.6651 2.8849 7.3036
0.8273 2.1727 1.7217
3.5366 3.7305 10.8165
3.6263 6.4233 5.8134
4.8784 5.4726 12.5981
3.9340 5.5207 3.4943
6.1968 7.4012 13.7890
5.8365 7.0024 8.9870
4.5640 1.7080 3.8288
6.8088 1.9135 11.1469
```

[5]
Simulated X-ray diffraction stick pattern of Ge for Cu Kα (weighted mean of Kα1 and Kα2), from a cell relaxed with GGA-PBE.
Kinematic intensities with the Lorentz-polarization factor, no thermal factor.

Top 6 peaks for 15° ≤ 2θ ≤ 90°, low angle first:
d (Å)  Position (°2θ)  I/Imax
5.497  16.12  100
3.342  26.68  39
2.957  30.22  21
2.163  41.75  20
2.025  44.75  26
1.900  47.87  36

Crystal structure
```
Ge
1.0
4.0504 0.0000 0.0000
-2.0252 3.5078 0.0000
0.0000 0.0000 10.9934
Ge
4
Cartesian
0.0000 0.0000 0.0000
0.0000 0.0000 5.4967
0.0000 2.3385 4.8085
2.0252 1.1692 10.3051
```

[6]
Simulated X-ray diffraction stick pattern of Ca2CuAs2H4O10 for Cu Kα (weighted mean of Kα1 and Kα2), from a cell relaxed with GGA-PBE.
Kinematic intensities with the Lorentz-polarization factor, no thermal factor.

Top 6 peaks for 15° ≤ 2θ ≤ 90°, low angle first:
d (Å)  Position (°2θ)  I/Imax
3.901  22.80  42
3.376  26.40  73
3.228  27.63  39
2.979  30.00  100
2.914  30.68  43
2.895  30.88  68

Crystal structure
```
Ca2CuAs2H4O10
1.0
6.0201 0.0000 0.0000
0.0000 12.8552 0.0000
-2.1257 0.0000 5.4836
Ca Cu As H O
4 2 4 8 20
Cartesian
-0.0791 1.5697 1.2037
-1.1419 4.8578 3.9455
5.0363 7.9973 1.5381
3.9734 11.2854 4.2799
3.0100 0.0000 0.0000
1.9472 6.4276 2.7418
-0.3893 8.0001 5.2270
0.6736 11.2827 2.4852
3.2208 1.5725 2.9984
4.2837 4.8551 0.2566
-0.4784 1.8314 4.3767
0.5844 4.5962 1.6349
0.3651 2.6509 5.4326
1.4280 3.7766 2.6908
2.4664 9.0785 2.7928
3.5293 10.2042 0.0510
3.3100 8.2590 3.8487
4.3728 11.0237 1.1069
-1.7357 9.0859 5.1720
-0.6729 10.1968 2.4302
-0.3086 7.1117 3.7614
0.7542 12.1710 1.0195
1.1824 6.9169 1.0055
0.1196 12.3658 3.7473
-0.1158 1.7415 5.3008
0.9470 4.6861 2.5590
1.7124 2.2930 2.6454
0.6496 4.1346 5.3872
3.2448 8.7205 0.0964
2.1820 10.5622 2.8382
2.9474 8.1691 2.9246
4.0102 11.1136 0.1828
3.7748 0.4893 1.7363
2.7120 5.9383 4.4781
3.1402 0.6841 4.4641
4.2030 5.7434 1.7223
4.5673 2.6583 3.0534
5.6301 3.7693 0.3116
```

[7]
Simulated X-ray diffraction stick pattern of Na3In2P3O12 for Cu Kα (weighted mean of Kα1 and Kα2), from a cell relaxed with GGA-PBE.
Kinematic intensities with the Lorentz-polarization factor, no thermal factor.

Top 6 peaks for 15° ≤ 2θ ≤ 90°, low angle first:
d (Å)  Position (°2θ)  I/Imax
5.751  15.41  100
4.178  21.27  36
3.207  27.81  33
2.874  31.12  50
2.827  31.65  79
2.631  34.08  68

Crystal structure
```
Na3In2P3O12
1.0
6.3128 -6.4896 0.0000
6.3128 6.4896 0.0000
-2.7659 0.0000 6.1088
Na In P O
6 4 6 24
Cartesian
0.0000 0.0000 0.0000
-1.3829 0.0000 3.0544
4.2384 3.5725 4.5816
5.6214 0.2178 1.5272
4.2384 -0.2178 4.5816
5.6214 -3.5725 1.5272
1.1015 2.0298 5.1668
2.4844 -2.0298 2.1124
7.3753 2.0298 3.9964
8.7583 -2.0298 0.9420
2.2747 1.3187 2.2398
5.6214 3.5632 1.5272
0.8917 -1.3187 5.2942
8.9680 1.3187 0.8146
4.2384 -3.5632 4.5816
7.5851 -1.3187 3.8690
0.8055 1.0060 2.0015
4.4129 4.5276 1.7204
2.8532 2.2158 1.0724
2.5256 2.1005 3.5689
-0.5774 -1.0060 5.0559
6.8298 4.5276 1.3340
5.5486 2.6511 0.2707
3.1681 0.0223 2.3202
1.7852 -0.0223 5.3746
5.6941 2.6511 2.7837
1.4702 -2.2158 4.1268
3.9086 -2.1005 0.5145
5.9512 2.1005 5.5943
8.3895 2.2158 1.9821
4.1657 -2.6511 3.3251
8.0746 0.0223 0.7342
6.6916 -0.0223 3.7886
4.3112 -2.6511 5.8382
3.0300 -4.5276 4.7748
10.4372 1.0060 1.0529
7.3341 -2.1005 2.5399
7.0066 -2.2158 5.0365
5.4468 -4.5276 4.3884
9.0542 -1.0060 4.1073
```

[8]
Simulated X-ray diffraction stick pattern of KICl4 for Cu Kα (weighted mean of Kα1 and Kα2), from a cell relaxed with GGA-PBE.
Kinematic intensities with the Lorentz-polarization factor, no thermal factor.

Top 6 peaks for 15° ≤ 2θ ≤ 90°, low angle first:
d (Å)  Position (°2θ)  I/Imax
5.885  15.05  39
4.742  18.71  100
4.654  19.07  45
4.092  21.72  96
3.379  26.37  49
2.554  35.13  50

Crystal structure
```
KICl4
1.0
5.0933 0.0000 0.0000
0.0000 13.8998 0.0000
-3.2671 0.0000 12.9926
K I Cl
4 4 16
Cartesian
-0.6332 2.1844 5.3952
-2.2668 4.7655 11.8915
4.0929 9.1343 1.1012
2.4593 11.7154 7.5975
-1.0848 0.9029 10.3262
0.5488 6.0470 3.8299
1.2773 7.8528 9.1628
2.9109 12.9969 2.6665
-0.6617 8.2317 4.0783
-2.2953 12.6180 10.5746
-2.0012 1.6177 12.5190
-0.3677 5.3322 6.0227
-0.1826 0.1416 7.9600
1.4509 6.8083 1.4637
0.1193 10.1141 9.3972
1.7528 10.7356 2.9009
0.0733 3.1642 10.0918
1.7068 3.7857 3.5954
0.3752 7.0915 11.5289
2.0087 13.7582 5.0326
2.1938 8.5676 6.9700
3.8274 12.2821 0.4736
4.1214 1.2818 2.4180
2.4878 5.6681 8.9143
```

[9]
Simulated X-ray diffraction stick pattern of In2Se3 for Cu Kα (weighted mean of Kα1 and Kα2), from a cell relaxed with GGA-PBE.
Kinematic intensities with the Lorentz-polarization factor, no thermal factor.

Top 6 peaks for 15° ≤ 2θ ≤ 90°, low angle first:
d (Å)  Position (°2θ)  I/Imax
2.944  30.36  100
2.096  43.16  34
2.068  43.78  37
1.692  54.21  19
1.324  71.23  13
1.309  72.14  16

Crystal structure
```
In2Se3
1.0
4.1352 0.0000 0.0000
-2.0676 3.5812 0.0000
0.0000 0.0000 25.8506
In Se
6 9
Cartesian
0.0000 0.0000 5.3643
0.0000 0.0000 20.4863
0.0000 2.3875 11.8694
0.0000 2.3875 22.5981
2.0676 1.1937 3.2525
2.0676 1.1937 13.9812
0.0000 0.0000 0.0000
0.0000 0.0000 10.3050
0.0000 0.0000 15.5457
0.0000 2.3875 1.6881
0.0000 2.3875 6.9288
0.0000 2.3875 17.2337
2.0676 1.1937 8.6169
2.0676 1.1937 18.9218
2.0676 1.1937 24.1625
```